Record 1
Starting from a crystal structure in Alexandria, relaxed with GGA-PBE, the powder diffraction line list of Ce7Sb2 was simulated for Cu Ka.
Kinematic intensities with the Lorentz-polarization factor, no thermal factor.

Peak list (10 most intense, 10 to 80 degrees two-theta, in order of rising 2θ)
index  two_theta  d [Å]  I (rel.)
1 0 1  21.5  4.125  66
2 1 0  33.0  2.718  1000
1 1 3  33.8  2.653  562
0 1 -3  36.1  2.488  170
0 2 3  46.1  1.969  129
2 0 3  49.6  1.839  69
2 2 -3  49.8  1.831  67
2 3 3  57.8  1.595  128
3 1 -3  59.5  1.554  63
4 2 0  69.2  1.358  68

Structure:
```
data_Ce7Sb2
_chemical_formula_sum 'Ce7 Sb2'
_cell_length_a 5.4346
_cell_length_b 5.4512
_cell_length_c 9.3691
_cell_angle_alpha 85.18
_cell_angle_beta 89.81
_cell_angle_gamma 60.22
_symmetry_space_group_name_H-M 'P -1'
_symmetry_Int_Tables_number 2
_symmetry_space_group_name_Hall '-P 1'
loop_
_atom_site_label
_atom_site_type_symbol
_atom_site_fract_x
_atom_site_fract_y
_atom_site_fract_z
Ce1 Ce 0.0000 0.0000 0.0000
Ce2 Ce 0.0247 0.9561 0.6908
Ce3 Ce 0.3110 0.3800 0.7691
Ce4 Ce 0.3467 0.3030 0.4847
Sb1 Sb 0.3439 0.3104 0.1368
```

=====

Record 2
Starting from a crystal structure in Alexandria, relaxed with GGA-PBE, the powder diffraction line list of CsSbAu3 was simulated for Cu Ka.
Kinematic intensities with the Lorentz-polarization factor, no thermal factor.

Peak list (10 most intense, 10 to 80 degrees two-theta, in order of rising 2θ)
index  two_theta  d [Å]  I (rel.)
0 1 1  14.5  6.120  505
1 1 0  15.4  5.741  567
2 1 -1  24.0  3.712  377
2 0 -2  24.7  3.599  411
1 2 1  27.5  3.248  505
0 1 3  30.2  2.961  734
2 2 0  31.2  2.870  1000
2 2 2  39.2  2.296  387
4 0 -2  43.1  2.097  559
1 4 -1  47.4  1.917  462

Structure:
```
data_CsSbAu3
_chemical_formula_sum 'Cs4 Sb4 Au12'
_cell_length_a 8.5488
_cell_length_b 7.9587
_cell_length_c 9.8720
_cell_angle_alpha 90.00
_cell_angle_beta 104.17
_cell_angle_gamma 90.00
_symmetry_space_group_name_H-M 'P 1 21/c 1'
_symmetry_Int_Tables_number 14
_symmetry_space_group_name_Hall '-P 2ybc'
loop_
_atom_site_label
_atom_site_type_symbol
_atom_site_fract_x
_atom_site_fract_y
_atom_site_fract_z
Cs1 Cs 0.2449 0.1734 0.4791
Sb1 Sb 0.3153 0.6839 0.6187
Au1 Au 0.0492 0.5170 0.6531
Au2 Au 0.1876 0.7051 0.3369
Au3 Au 0.4732 0.5582 0.2864
```

=====

Record 3
Starting from a crystal structure in Alexandria, relaxed with GGA-PBE, the powder diffraction line list of Ca2Zn6GaAu was simulated for Cu Ka.
Kinematic intensities with the Lorentz-polarization factor, no thermal factor.

Peak list (10 most intense, 10 to 80 degrees two-theta, in order of rising 2θ)
index  two_theta  d [Å]  I (rel.)
0 1 2  16.7  5.312  1000
1 0 4  18.9  4.688  569
1 1 0  27.7  3.223  487
1 1 6  31.8  2.812  457
0 2 7  37.0  2.429  381
2 0 8  38.4  2.344  373
0 1 14  40.0  2.256  359
1 1 12  42.1  2.146  365
1 2 2  43.2  2.095  435
0 3 6  51.6  1.771  328

Structure:
```
data_Ca2Zn6GaAu
_chemical_formula_sum 'Ca12 Zn36 Ga6 Au6'
_cell_length_a 6.4467
_cell_length_b 6.4467
_cell_length_c 34.5223
_cell_angle_alpha 90.00
_cell_angle_beta 90.00
_cell_angle_gamma 120.00
_symmetry_space_group_name_H-M 'R -3 m'
_symmetry_Int_Tables_number 166
_symmetry_space_group_name_Hall '-R 3 2"'
loop_
_atom_site_label
_atom_site_type_symbol
_atom_site_fract_x
_atom_site_fract_y
_atom_site_fract_z
Ca1 Ca 0.0000 0.0000 0.1397
Ca2 Ca 0.0000 0.0000 0.3097
Zn1 Zn 0.0610 0.5305 0.7258
Zn2 Zn 0.0699 0.5350 0.8847
Ga1 Ga 0.0000 0.0000 0.4197
Au1 Au 0.0000 0.0000 0.0000
Au2 Au 0.0000 0.0000 0.5000
```

=====

Record 4
Starting from a crystal structure in Alexandria, relaxed with GGA-PBE, the powder diffraction line list of ZnCu6Au2 was simulated for Cu Ka.
Kinematic intensities with the Lorentz-polarization factor, no thermal factor.

Peak list (10 most intense, 10 to 80 degrees two-theta, in order of rising 2θ)
index  two_theta  d [Å]  I (rel.)
0 2 1  24.1  3.700  393
0 2 2  32.1  2.790  140
3 1 -2  37.6  2.395  324
3 1 0  37.7  2.389  317
0 4 0  42.2  2.140  418
0 2 3  42.5  2.128  1000
3 1 -3  43.3  2.089  411
3 1 1  43.5  2.080  403
0 4 1  44.1  2.055  186
3 3 -2  48.5  1.877  602

Structure:
```
data_ZnCu6Au2
_chemical_formula_sum 'Zn4 Cu24 Au8'
_cell_length_a 7.9430
_cell_length_b 8.5599
_cell_length_c 7.8326
_cell_angle_alpha 90.00
_cell_angle_beta 110.01
_cell_angle_gamma 90.00
_symmetry_space_group_name_H-M 'C 1 2/c 1'
_symmetry_Int_Tables_number 15
_symmetry_space_group_name_Hall '-C 2yc'
loop_
_atom_site_label
_atom_site_type_symbol
_atom_site_fract_x
_atom_site_fract_y
_atom_site_fract_z
Zn1 Zn 0.0000 0.1572 0.2500
Cu1 Cu 0.0552 0.1105 0.9250
Cu2 Cu 0.1040 0.3855 0.0719
Cu3 Cu 0.2267 0.3854 0.4288
Au1 Au 0.1759 0.3447 0.7528
```

=====

Record 5
Starting from a crystal structure in Alexandria, relaxed with GGA-PBE, the powder diffraction line list of Lu4NiB13 was simulated for Cu Ka.
Kinematic intensities with the Lorentz-polarization factor, no thermal factor.

Peak list (10 most intense, 10 to 80 degrees two-theta, in order of rising 2θ)
index  two_theta  d [Å]  I (rel.)
2 0 0  24.7  3.611  402
0 0 2  26.4  3.376  593
2 1 0  27.6  3.229  986
2 0 2  36.4  2.466  391
2 1 2  38.6  2.333  1000
3 1 2  48.1  1.891  279
4 1 0  52.2  1.751  374
4 1 2  59.5  1.555  403
2 1 4  62.0  1.496  214
4 1 4  78.7  1.215  231

Structure:
```
data_Lu4NiB13
_chemical_formula_sum 'Lu8 Ni2 B26'
_cell_length_a 7.2210
_cell_length_b 7.2210
_cell_length_c 6.7511
_cell_angle_alpha 90.00
_cell_angle_beta 90.00
_cell_angle_gamma 90.00
_symmetry_space_group_name_H-M 'P 4/m n c'
_symmetry_Int_Tables_number 128
_symmetry_space_group_name_Hall '-P 4 2n'
loop_
_atom_site_label
_atom_site_type_symbol
_atom_site_fract_x
_atom_site_fract_y
_atom_site_fract_z
Lu1 Lu 0.1801 0.3156 0.0000
Ni1 Ni 0.0000 0.0000 0.5000
B1 B 0.0000 0.0000 0.0000
B2 B 0.0397 0.8285 0.2428
B3 B 0.0910 0.5910 0.2500
```

=====

Record 6
Starting from a crystal structure in Alexandria, relaxed with GGA-PBE, the powder diffraction line list of Ac8Ir3RuBr3 was simulated for Cu Ka.
Kinematic intensities with the Lorentz-polarization factor, no thermal factor.

Peak list (10 most intense, 10 to 80 degrees two-theta, in order of rising 2θ)
index  two_theta  d [Å]  I (rel.)
0 0 1  10.8  8.219  494
2 2 0  24.7  3.606  133
4 0 0  27.7  3.217  1000
2 2 -3  34.9  2.574  268
2 2 2  37.7  2.386  273
0 4 0  41.5  2.177  401
6 2 -3  43.0  2.105  110
4 0 -5  47.2  1.927  192
4 4 0  50.6  1.803  195
10 2 -2  67.4  1.389  167

Structure:
```
data_Ac8Ir3RuBr3
_chemical_formula_sum 'Ac16 Ir6 Ru2 Br6'
_cell_length_a 15.0874
_cell_length_b 8.7068
_cell_length_c 9.6372
_cell_angle_alpha 90.00
_cell_angle_beta 121.48
_cell_angle_gamma 90.00
_symmetry_space_group_name_H-M 'C 1 2/m 1'
_symmetry_Int_Tables_number 12
_symmetry_space_group_name_Hall '-C 2y'
loop_
_atom_site_label
_atom_site_type_symbol
_atom_site_fract_x
_atom_site_fract_y
_atom_site_fract_z
Ac1 Ac 0.0175 0.2471 0.3068
Ac2 Ac 0.2293 0.0000 0.6933
Ac3 Ac 0.2314 0.5000 0.6929
Ir1 Ir 0.0000 0.5000 0.5000
Ir2 Ir 0.2500 0.2500 0.5000
Ru1 Ru 0.0000 0.0000 0.5000
Br1 Br 0.0000 0.0000 0.0000
Br2 Br 0.2500 0.2500 0.0000
```

=====

Record 7
Starting from a crystal structure in Alexandria, relaxed with GGA-PBE, the powder diffraction line list of BaZn2BrO2 was simulated for Cu Ka.
Kinematic intensities with the Lorentz-polarization factor, no thermal factor.

Peak list (10 most intense, 10 to 80 degrees two-theta, in order of rising 2θ)
index  two_theta  d [Å]  I (rel.)
1 1 0  21.6  4.113  818
2 0 -1  25.2  3.536  1000
1 1 -2  28.5  3.130  505
0 1 2  30.1  2.970  853
2 1 0  32.4  2.764  446
1 0 2  33.2  2.698  646
1 2 0  36.5  2.464  590
1 2 -1  36.7  2.451  533
2 2 -2  44.8  2.024  438
0 2 3  51.4  1.777  296

Structure:
```
data_BaZn2BrO2
_chemical_formula_sum 'Ba2 Zn4 Br2 O4'
_cell_length_a 7.0812
_cell_length_b 5.3298
_cell_length_c 7.8321
_cell_angle_alpha 90.00
_cell_angle_beta 114.04
_cell_angle_gamma 90.00
_symmetry_space_group_name_H-M 'P 1 21/m 1'
_symmetry_Int_Tables_number 11
_symmetry_space_group_name_Hall '-P 2yb'
loop_
_atom_site_label
_atom_site_type_symbol
_atom_site_fract_x
_atom_site_fract_y
_atom_site_fract_z
Ba1 Ba 0.1733 0.2500 0.3661
Zn1 Zn 0.3829 0.5094 0.8183
Br1 Br 0.0792 0.2500 0.8888
O1 O 0.1981 0.7500 0.6398
O2 O 0.4681 0.2500 0.6932
```

=====

Record 8
Starting from a crystal structure in Alexandria, relaxed with GGA-PBE, the powder diffraction line list of SbH2N was simulated for Cu Ka.
Kinematic intensities with the Lorentz-polarization factor, no thermal factor.

Peak list (7 most intense, 10 to 80 degrees two-theta, in order of rising 2θ)
index  two_theta  d [Å]  I (rel.)
1 1 1  23.4  3.803  738
2 2 0  38.7  2.329  1000
3 1 1  45.7  1.986  419
4 0 0  55.8  1.647  159
3 3 1  61.4  1.511  168
4 2 2  70.0  1.344  322
5 1 1  74.9  1.268  131

Structure:
a b c (Å): 6.5867 6.5867 6.5867
angles (deg): 90.00 90.00 90.00
Space group Fd-3m (No. 227, origin choice 2)
Asymmetric unit:
Sb (0.1250, 0.1250, 0.1250) (multiplicity 8)
H (0.0000, 0.0000, 0.5000) (multiplicity 16)
N (0.1250, 0.1250, 0.6250) (multiplicity 8)

=====

Record 9
Starting from a crystal structure in Alexandria, relaxed with GGA-PBE, the powder diffraction line list of Mg5Sc6Sb was simulated for Cu Ka.
Kinematic intensities with the Lorentz-polarization factor, no thermal factor.

Peak list (10 most intense, 10 to 80 degrees two-theta, in order of rising 2θ)
index  two_theta  d [Å]  I (rel.)
0 2 0  11.6  7.645  115
0 0 1  12.6  7.021  96
0 2 1  17.1  5.171  100
1 1 1  22.4  3.977  111
2 0 0  35.3  2.545  519
1 3 2  35.7  2.513  1000
2 6 0  50.7  1.800  172
1 9 2  63.5  1.464  164
3 3 2  63.6  1.462  166
2 0 4  64.5  1.445  159

Structure:
```
data_Mg5Sc6Sb
_chemical_formula_sum 'Mg10 Sc12 Sb2'
_cell_length_a 5.0854
_cell_length_b 15.2894
_cell_length_c 7.0210
_cell_angle_alpha 90.00
_cell_angle_beta 90.00
_cell_angle_gamma 90.00
_symmetry_space_group_name_H-M 'C m m m'
_symmetry_Int_Tables_number 65
_symmetry_space_group_name_Hall '-C 2 2'
loop_
_atom_site_label
_atom_site_type_symbol
_atom_site_fract_x
_atom_site_fract_y
_atom_site_fract_z
Mg1 Mg 0.0000 0.0000 0.0000
Mg2 Mg 0.0000 0.3259 0.5000
Mg3 Mg 0.0000 0.3348 0.0000
Sc1 Sc 0.0000 0.1664 0.2467
Sc2 Sc 0.0000 0.5000 0.2522
Sb1 Sb 0.0000 0.0000 0.5000
```

=====

Record 10
Starting from a crystal structure in Alexandria, relaxed with GGA-PBE, the powder diffraction line list of Sc11Hg9Ir4 was simulated for Cu Ka.
Kinematic intensities with the Lorentz-polarization factor, no thermal factor.

Peak list (10 most intense, 10 to 80 degrees two-theta, in order of rising 2θ)
index  two_theta  d [Å]  I (rel.)
0 6 0  25.6  3.484  513
0 0 1  26.4  3.376  425
4 6 0  36.5  2.464  614
0 6 1  37.1  2.424  1000
1 9 0  39.4  2.288  138
4 6 1  45.6  1.990  332
0 0 2  54.4  1.688  130
0 6 2  61.0  1.519  111
4 12 1  66.1  1.414  99
4 6 2  67.2  1.392  207

Structure:
```
data_Sc11Hg9Ir4
_chemical_formula_sum 'Sc22 Hg18 Ir8'
_cell_length_a 13.9522
_cell_length_b 20.8843
_cell_length_c 3.3756
_cell_angle_alpha 90.00
_cell_angle_beta 90.00
_cell_angle_gamma 90.00
_symmetry_space_group_name_H-M 'C m m m'
_symmetry_Int_Tables_number 65
_symmetry_space_group_name_Hall '-C 2 2'
loop_
_atom_site_label
_atom_site_type_symbol
_atom_site_fract_x
_atom_site_fract_y
_atom_site_fract_z
Sc1 Sc 0.0000 0.0000 0.0000
Sc2 Sc 0.0000 0.1631 0.0000
Sc3 Sc 0.0000 0.3622 0.0000
Sc4 Sc 0.2062 0.5000 0.0000
Sc5 Sc 0.2489 0.3332 0.0000
Hg1 Hg 0.0000 0.5000 0.5000
Hg2 Hg 0.1115 0.2554 0.5000
Hg3 Hg 0.1358 0.0756 0.5000
Ir1 Ir 0.1457 0.4021 0.5000
```

=====

Record 11
Starting from a crystal structure in Alexandria, relaxed with GGA-PBE, the powder diffraction line list of PbS2BrCl was simulated for Cu Ka.
Kinematic intensities with the Lorentz-polarization factor, no thermal factor.

Peak list (10 most intense, 10 to 80 degrees two-theta, in order of rising 2θ)
index  two_theta  d [Å]  I (rel.)
1 1 0  23.7  3.752  529
1 0 1  23.8  3.732  1000
1 1 1  29.3  3.053  501
2 0 0  33.8  2.653  508
0 0 2  34.2  2.626  247
2 1 1  41.8  2.162  480
1 1 2  42.0  2.151  245
2 0 2  48.8  1.866  350
3 1 0  54.7  1.677  226
2 2 2  60.7  1.526  181

Structure:
```
data_PbS2BrCl
_chemical_formula_sum 'Pb1 S2 Br1 Cl1'
_cell_length_a 5.3058
_cell_length_b 5.3058
_cell_length_c 5.2511
_cell_angle_alpha 90.00
_cell_angle_beta 90.00
_cell_angle_gamma 90.00
_symmetry_space_group_name_H-M 'P 4/m m m'
_symmetry_Int_Tables_number 123
_symmetry_space_group_name_Hall '-P 4 2'
loop_
_atom_site_label
_atom_site_type_symbol
_atom_site_fract_x
_atom_site_fract_y
_atom_site_fract_z
Pb1 Pb 0.0000 0.0000 0.0000
S1 S 0.0000 0.5000 0.5000
Br1 Br 0.5000 0.5000 0.5000
Cl1 Cl 0.5000 0.5000 0.0000
```

=====

Record 12
Starting from a crystal structure in Alexandria, relaxed with GGA-PBE, the powder diffraction line list of LaGa3CoPt was simulated for Cu Ka.
Kinematic intensities with the Lorentz-polarization factor, no thermal factor.

Peak list (10 most intense, 10 to 80 degrees two-theta, in order of rising 2θ)
index  two_theta  d [Å]  I (rel.)
1 1 0  14.6  6.081  240
0 2 0  16.2  5.482  214
2 0 0  24.4  3.654  443
0 0 2  29.2  3.055  279
1 3 1  31.0  2.882  713
0 4 0  32.7  2.741  311
2 0 2  38.4  2.344  1000
3 3 1  47.2  1.924  225
4 0 0  49.9  1.827  241
2 4 2  51.3  1.781  339

Structure:
```
data_LaGa3CoPt
_chemical_formula_sum 'La4 Ga12 Co4 Pt4'
_cell_length_a 7.3088
_cell_length_b 10.9634
_cell_length_c 6.1105
_cell_angle_alpha 90.00
_cell_angle_beta 90.00
_cell_angle_gamma 90.00
_symmetry_space_group_name_H-M 'C m c m'
_symmetry_Int_Tables_number 63
_symmetry_space_group_name_Hall '-C 2c 2'
loop_
_atom_site_label
_atom_site_type_symbol
_atom_site_fract_x
_atom_site_fract_y
_atom_site_fract_z
La1 La 0.0000 0.2503 0.2500
Ga1 Ga 0.0000 0.2192 0.7500
Ga2 Ga 0.2441 0.0000 0.0000
Co1 Co 0.0000 0.0174 0.7500
Pt1 Pt 0.0000 0.4361 0.7500
```